This entry pairs a crystal structure of LaNdCo2O6 with its simulated X-ray diffraction stick pattern. Radiation: copper Kα. Structure: the GGA+U geometry in the Materials Project.

Largest 10 diffraction maxima, in order of falling intensity, 2θ from 10° to 90°:
- hkl 2 1 1, 2θ = 32.60°, intensity 100
- hkl 0 2 2, 2θ = 46.91°, intensity 22
- hkl 4 2 0, 2θ = 58.17°, intensity 21
- hkl 0 2 0, 2θ = 32.81°, intensity 20
- hkl 2 3 1, 2θ = 58.44°, intensity 17
- hkl 4 2 2, 2θ = 68.30°, intensity 14
- hkl 4 0 0, 2θ = 46.64°, intensity 12
- hkl 0 1 1, 2θ = 22.96°, intensity 11
- hkl 2 2 0, 2θ = 40.35°, intensity 9
- hkl 4 0 2, 2θ = 58.05°, intensity 8

Crystal structure
Unit cell a=7.7890 b=5.4597 c=5.4960 alpha=90.00 beta=90.00 gamma=90.00
Space group Pmc2_1 (No. 26)
One atom of each set of equivalent atoms:
La 0.0000 0.2464 0.0000 [2 per cell]
Nd 0.5000 0.2571 0.0676 [2 per cell]
Co 0.2521 0.2491 0.5284 [4 per cell]
O 0.0000 0.3112 0.5374 [2 per cell]
O 0.2194 0.0395 0.2384 [4 per cell]
O 0.2888 0.4636 0.8145 [4 per cell]
O 0.5000 0.1792 0.5151 [2 per cell]